Entry 1:
PrMg3Ni: computed powder X-ray diffraction pattern (CuKα), based on a structure optimized by DFT (PBE).

```
PrMg3Ni
1.0
4.147 -6.191 0.000
4.147 6.191 0.000
0.000 0.000 4.380
Pr Mg Ni
2 6 2
Direct
0.203 0.797 0.000
0.797 0.203 0.000
0.000 0.000 0.500
0.182 0.428 0.500
0.428 0.182 0.500
0.500 0.500 0.000
0.572 0.818 0.500
0.818 0.572 0.500
0.177 0.177 0.000
0.823 0.823 0.000
```

Top 10 peaks for 2θ from 5° to 70°, by intensity:
2theta	Rel. int.
33.1	100.0
20.3	83.2
39.2	69.3
25.9	67.9
31.7	64.4
12.8	63.8
29.7	54.2
24.1	51.3
44.5	50.6
35.5	48.9

***

Entry 2:
La2RuBr2: computed powder X-ray diffraction pattern (CuKα), based on a structure optimized by DFT (PBE).

```
La2RuBr2
1.0
4.249 0.000 0.000
-2.124 3.679 0.000
0.000 0.000 31.813
La Ru Br
6 3 6
Direct
0.000 0.000 0.116
0.000 0.000 0.884
0.333 0.667 0.551
0.333 0.667 0.783
0.667 0.333 0.217
0.667 0.333 0.449
0.000 0.000 0.500
0.333 0.667 0.167
0.667 0.333 0.833
0.000 0.000 0.277
0.000 0.000 0.723
0.333 0.667 0.390
0.333 0.667 0.944
0.667 0.333 0.056
0.667 0.333 0.610
```

Top 10 peaks for 2θ from 5° to 70°, by intensity:
2theta	Rel. int.
28.0	100.0
8.3	79.2
33.2	43.8
42.6	43.0
44.5	33.5
69.1	31.6
51.7	24.6
37.4	15.2
63.2	11.6
55.0	11.3

***

Entry 3:
SmBeF4: computed powder X-ray diffraction pattern (CuKα), based on a structure optimized by DFT (PBE).

```
SmBeF4
1.0
8.240 0.000 0.000
0.000 6.448 0.000
0.000 0.000 6.362
Sm Be F
4 4 16
Direct
0.144 0.079 0.000
0.356 0.579 0.500
0.644 0.421 0.000
0.856 0.921 0.500
0.043 0.598 0.196
0.457 0.098 0.696
0.543 0.902 0.196
0.957 0.402 0.696
0.092 0.715 0.416
0.096 0.733 0.010
0.145 0.411 0.712
0.148 0.396 0.206
0.352 0.896 0.706
0.355 0.911 0.212
0.404 0.233 0.510
0.408 0.215 0.916
0.592 0.785 0.416
0.596 0.767 0.010
0.645 0.089 0.712
0.648 0.104 0.206
0.852 0.604 0.706
0.855 0.589 0.212
0.904 0.267 0.510
0.908 0.285 0.916
```

Top 10 peaks for 2θ from 5° to 70°, by intensity:
2theta	Rel. int.
22.4	100.0
25.8	75.6
33.2	34.0
41.4	30.6
19.6	30.6
45.9	28.1
47.7	26.2
28.1	26.0
33.0	20.6
17.5	19.4

***

Entry 4:
TaCu2PdS4: computed powder X-ray diffraction pattern (CuKα), based on a structure optimized by DFT (PBE).

```
TaCu2PdS4
1.0
5.431 0.000 0.000
0.000 5.431 0.000
0.000 0.000 10.688
Ta Cu Pd S
2 4 2 8
Direct
0.000 0.000 0.000
0.500 0.500 0.500
0.000 0.500 0.250
0.000 0.500 0.750
0.500 0.000 0.250
0.500 0.000 0.750
0.000 0.000 0.500
0.500 0.500 0.000
0.242 0.242 0.870
0.242 0.758 0.130
0.258 0.258 0.370
0.258 0.742 0.630
0.742 0.258 0.630
0.742 0.742 0.370
0.758 0.242 0.130
0.758 0.758 0.870
```

Top 10 peaks for 2θ from 5° to 70°, by intensity:
2theta	Rel. int.
28.6	100.0
47.8	36.5
56.3	28.7
47.3	18.7
33.0	14.8
57.0	14.3
23.2	9.2
16.6	8.8
18.3	7.6
33.5	7.1

***

Entry 5:
Na16Tl12Bi: computed powder X-ray diffraction pattern (CuKα), based on a structure optimized by DFT (PBE).

```
Na16Tl12Bi
1.0
6.025 -8.441 0.000
6.025 8.441 0.000
-5.827 0.000 8.494
Na Tl Bi
16 12 1
Direct
0.000 0.000 0.000
0.005 0.592 0.317
0.008 0.008 0.345
0.010 0.315 0.595
0.292 0.683 0.694
0.315 0.010 0.595
0.324 0.583 0.998
0.348 0.998 0.994
0.426 0.732 0.428
0.583 0.324 0.998
0.592 0.005 0.317
0.665 0.665 0.679
0.683 0.292 0.694
0.706 0.706 0.293
0.732 0.426 0.428
0.998 0.348 0.994
0.009 0.813 0.626
0.017 0.628 0.821
0.177 0.372 0.361
0.192 0.192 0.828
0.200 0.804 0.199
0.372 0.177 0.361
0.401 0.401 0.208
0.628 0.017 0.821
0.628 0.818 0.008
0.804 0.200 0.199
0.813 0.009 0.626
0.818 0.628 0.008
0.393 0.393 0.697
```

Top 10 peaks for 2θ from 5° to 70°, by intensity:
2theta	Rel. int.
18.1	100.0
18.2	83.5
35.2	54.5
31.5	54.0
17.9	52.9
38.4	52.9
31.8	51.4
35.4	44.8
34.6	39.4
35.0	31.8

***

Entry 6:
Cu2NiH3: computed powder X-ray diffraction pattern (CuKα), based on a structure optimized by DFT (PBE).

```
Cu2NiH3
1.0
0.000 1.875 5.997
1.868 0.000 5.997
1.868 1.875 0.000
Cu Ni H
2 1 3
Direct
0.167 0.167 0.833
0.833 0.833 0.167
0.500 0.500 0.500
0.000 0.000 0.000
0.357 0.357 0.643
0.643 0.643 0.357
```

Top 6 peaks for 2θ from 5° to 70°, by intensity:
2theta	Rel. int.
40.9	100.0
45.4	19.4
48.6	15.8
48.8	15.6
68.6	10.1
68.8	10.0